For LiVFeO4, DFT lattice parameters and positions (PBE+U) gives the computed X-ray diffraction stick pattern in this record (Cu Kα X-rays).
No peak broadening, texture or thermal motion is included.

Peak list (10 most intense, 10° ≤ 2θ ≤ 90°, in order of falling intensity)
2θ/deg	I (rel.)
35.41	100
30.10	91
35.53	54
62.62	49
23.68	38
56.92	38
14.90	33
62.47	24
26.03	23
53.41	22

Structural model:
```
data_LiVFeO4
_chemical_formula_sum 'Li4 V4 Fe4 O16'
_symmetry_space_group_name_H-M 'P 43 2 2'
_symmetry_Int_Tables_number 95
_symmetry_space_group_name_Hall 'P 4cw 2c'
_cell_length_a 5.947
_cell_length_b 5.947
_cell_length_c 8.374
_cell_angle_alpha 90.00
_cell_angle_beta 90.00
_cell_angle_gamma 90.00
loop_
_atom_site_label
_atom_site_fract_x
_atom_site_fract_y
_atom_site_fract_z
Li1 0.000 0.233 0.000
V1 0.232 0.500 0.250
Fe1 0.255 0.255 0.625
O1 0.016 0.269 0.258
O2 0.269 0.487 0.014
```